Mn4O7F: calculated PXRD pattern (λ = 1.5418 Å (Cu Kα)), based on a DFT-relaxed cell (GGA+U, Alexandria).

a b c (Å): 7.0005 4.9657 7.1250
angles (deg): 90.00 101.50 90.00
Element x y z (fractional)
Mn 0.0000 0.0069 0.0000
Mn 0.0000 0.9931 0.5000
Mn 0.1435 0.4910 0.3527
Mn 0.1435 0.5090 0.8527
Mn 0.4909 0.0134 0.0069
Mn 0.4909 0.9866 0.5069
Mn 0.6526 0.4715 0.3658
Mn 0.6526 0.5285 0.8658
O 0.0091 0.1657 0.2553
O 0.0091 0.8343 0.7553
O 0.1370 0.3199 0.5979
O 0.1370 0.6801 0.0979
O 0.2398 0.1863 0.9876
O 0.2398 0.8137 0.4876
O 0.3991 0.3103 0.3607
O 0.3991 0.6897 0.8607
O 0.6350 0.3373 0.1028
O 0.6350 0.6627 0.6028
O 0.7450 0.1526 0.4874
O 0.7450 0.8474 0.9874
O 0.8985 0.3385 0.8655
O 0.8985 0.6615 0.3655
F 0.5158 0.2102 0.7521
F 0.5158 0.7898 0.2521

Principal peaks in the range 2θ from 5° to 70°, in order of rising 2θ:
d (Å)	2θ (°)	Rel. int.
3.491	25.5	61
3.430	26.0	55
2.856	31.3	99
2.822	31.7	100
2.483	36.2	22
2.395	37.6	47
1.661	55.3	48
1.647	55.8	40
1.621	56.8	36
1.416	66.0	30